For Np2CoP3Ir4, a crystal structure in Alexandria, relaxed with GGA-PBE gives the simulated X-ray diffraction stick pattern in this record (CuKα).
Lines closer than 0.1° are merged.

Atomic structure:
Cell: 4.039 4.039 9.941 Å, 90.00 90.00 90.00°
Positions (direct):
Np  0.000  0.500  0.243
Np  0.500  0.000  0.757
Co  0.500  0.500  0.000
P  0.000  0.000  0.000
P  0.000  0.500  0.638
P  0.500  0.000  0.362
Ir  0.000  0.000  0.500
Ir  0.000  0.500  0.870
Ir  0.500  0.000  0.130
Ir  0.500  0.500  0.500

Main lines, in order of falling intensity (10° ≤ 2θ ≤ 80°):
d/Å, intensity, index
2.476, 100, 1 1 2
2.562, 63, 1 0 3
2.019, 56, 2 0 0
2.745, 39, 1 1 1
1.586, 30, 2 1 3
1.784, 27, 1 0 5
1.237, 26, 3 1 2
1.337, 21, 2 1 5
3.314, 20, 0 0 3
1.428, 18, 2 2 0
3.135, 15, 1 0 2
2.856, 15, 1 1 0